Entry 1:
Theoretical PXRD pattern
Compound: Er2SO2
Radiation: Cu Kα X-rays
Structure: a crystal structure in the Materials Project, relaxed with PBE
Peak positions follow from Bragg's law for the DFT cell and can differ from measured ones.

Cell and atoms:
abc: 3.7666 3.7666 6.5616
angles: 90.00 90.00 120.00
Atoms (fractional coordinates):
Er 0.3333 0.6667 0.2828
Er 0.6667 0.3333 0.7172
S 0.0000 0.0000 0.0000
O 0.3333 0.6667 0.6296
O 0.6667 0.3333 0.3704

Largest 10 diffraction maxima, in order of rising 2θ, 15 to 90 degrees two-theta:
| 2theta | I_rel |
| --- | --- |
| 27.18 | 23 |
| 27.34 | 20 |
| 30.61 | 100 |
| 38.94 | 30 |
| 48.33 | 30 |
| 50.22 | 24 |
| 56.34 | 21 |
| 58.29 | 17 |
| 65.39 | 9 |
| 79.02 | 14 |

Entry 2:
Theoretical PXRD pattern
Compound: Rb2Li14Tb3O14
Radiation: Cu Kα X-rays
Structure: a crystal structure in the Materials Project, relaxed with PBE
Peak positions follow from Bragg's law for the DFT cell and can differ from measured ones.

Cell and atoms:
abc: 8.6187 8.6187 8.6187
angles: 128.55 123.26 80.12
Atoms (fractional coordinates):
Rb 0.0000 0.2348 0.2348
Rb 0.0000 0.7652 0.7652
Li 0.0854 0.2315 0.8538
Li 0.2113 0.1401 0.6187
Li 0.2113 0.5926 0.0711
Li 0.3455 0.5000 0.8455
Li 0.3777 0.2315 0.1462
Li 0.4785 0.4074 0.6187
Li 0.4785 0.8599 0.0711
Li 0.5215 0.1401 0.9289
Li 0.5215 0.5926 0.3813
Li 0.6223 0.7685 0.8538
Li 0.6545 0.5000 0.1545
Li 0.7887 0.4074 0.9289
Li 0.7887 0.8599 0.3813
Li 0.9146 0.7685 0.1462
Tb 0.2296 0.7296 0.5000
Tb 0.5000 0.0000 0.5000
Tb 0.7704 0.2704 0.5000
O 0.0930 0.3725 0.7205
O 0.1843 0.8687 0.3156
O 0.2516 0.0501 0.7984
O 0.2516 0.4532 0.2016
O 0.3480 0.6275 0.7205
O 0.4469 0.1313 0.3156
O 0.5000 0.2980 0.7980
O 0.5000 0.7020 0.2020
O 0.5531 0.8687 0.6844
O 0.6520 0.3725 0.2795
O 0.7484 0.5468 0.7984
O 0.7484 0.9499 0.2016
O 0.8157 0.1313 0.6844
O 0.9070 0.6275 0.2795

Largest 10 diffraction maxima, in order of rising 2θ, 15 to 90 degrees two-theta:
| 2theta | I_rel |
| --- | --- |
| 16.04 | 100 |
| 21.70 | 48 |
| 27.05 | 43 |
| 31.59 | 22 |
| 33.29 | 33 |
| 34.94 | 61 |
| 37.69 | 28 |
| 44.76 | 19 |
| 55.75 | 18 |
| 57.30 | 16 |

Entry 3:
Theoretical PXRD pattern
Compound: RbAgF3
Radiation: Cu Kα X-rays
Structure: a crystal structure in the Materials Project, relaxed with PBE
Peak positions follow from Bragg's law for the DFT cell and can differ from measured ones.

Cell and atoms:
abc: 6.2585 6.2585 6.2585
angles: 119.44 119.44 90.97
Atoms (fractional coordinates):
Rb 0.2500 0.2500 0.0000
Rb 0.7500 0.7500 0.0000
Ag 0.0000 0.5000 0.5000
Ag 0.5000 0.0000 0.5000
F 0.2426 0.7426 0.9853
F 0.2500 0.7500 0.5000
F 0.2574 0.2426 0.5000
F 0.7426 0.7574 0.5000
F 0.7500 0.2500 0.5000
F 0.7574 0.2574 0.0147

Largest 10 diffraction maxima, in order of rising 2θ, 15 to 90 degrees two-theta:
| 2theta | I_rel |
| --- | --- |
| 28.28 | 51 |
| 28.53 | 100 |
| 40.42 | 39 |
| 41.14 | 19 |
| 50.22 | 41 |
| 50.68 | 20 |
| 58.50 | 12 |
| 59.05 | 23 |
| 74.00 | 11 |
| 80.65 | 10 |